Record 1
Theoretical X-ray diffraction stick pattern
Compound: Cs3KTe4
Radiation: Cu Kα
Structure: a structure optimized by DFT (PBE)
Neutral-atom scattering factors, no anomalous dispersion.

Structure:
```
data_Cs3KTe4
_chemical_formula_sum 'Cs6 K2 Te8'
_cell_length_a 5.7429
_cell_length_b 7.0460
_cell_length_c 21.3778
_cell_angle_alpha 90.00
_cell_angle_beta 90.00
_cell_angle_gamma 90.00
_space_group_name_H-M_alt 'I m m m'
_space_group_IT_number 71
_space_group_name_Hall '-I 2 2'
loop_
_atom_site_label
_atom_site_fract_x
_atom_site_fract_y
_atom_site_fract_z
Cs1 0.0000 0.0000 0.0000
Cs2 0.0000 0.5000 0.2043
K1 0.0000 0.0000 0.5000
Te1 0.0000 0.3015 0.3750
```

Principal peaks in the range 15° ≤ 2θ ≤ 90°, sorted by position:
2θ/deg, Rel. int., (hkl)
19.9, 39, 1 1 0
21.6, 82, 1 1 2
26.0, 100, 1 0 5
30.0, 46, 1 2 1
30.4, 52, 0 2 4
31.1, 46, 2 0 0
32.4, 29, 1 2 3
33.2, 22, 1 0 7
44.1, 37, 2 2 4
54.4, 24, 1 3 8

***

Record 2
Theoretical X-ray diffraction stick pattern
Compound: NdPuTe3
Radiation: Cu Kα
Structure: a structure optimized by DFT (PBE)
Neutral-atom scattering factors, no anomalous dispersion.

Structure:
```
data_NdPuTe3
_chemical_formula_sum 'Nd4 Pu4 Te12'
_cell_length_a 8.3175
_cell_length_b 4.4318
_cell_length_c 17.3876
_cell_angle_alpha 90.00
_cell_angle_beta 90.00
_cell_angle_gamma 90.00
_space_group_name_H-M_alt 'P n m a'
_space_group_IT_number 62
loop_
_space_group_symop_operation_xyz
'x,y,z'
'-x,-y,-z'
'-x+1/2,-y,z+1/2'
'x+1/2,y,-z+1/2'
'x+1/2,-y+1/2,-z+1/2'
'-x+1/2,y+1/2,z+1/2'
'-x,y+1/2,-z'
'x,-y+1/2,z'
loop_
_atom_site_label
_atom_site_fract_x
_atom_site_fract_y
_atom_site_fract_z
Nd1 0.1305 0.2500 0.2023
Pu1 0.2268 0.7500 0.4611
Te1 0.0029 0.2500 0.3910
Te2 0.1210 0.7500 0.0651
Te3 0.1580 0.2500 0.7849
```

Principal peaks in the range 15° ≤ 2θ ≤ 90°, sorted by position:
2θ/deg, Rel. int., (hkl)
23.3, 60, 1 1 1
25.0, 28, 1 1 2
29.7, 32, 2 0 4
31.2, 100, 2 1 2
32.7, 72, 0 1 5
33.3, 31, 2 1 3
34.5, 58, 1 1 5
38.7, 35, 3 1 1
40.7, 51, 0 2 0
41.5, 31, 3 1 3

***

Record 3
Theoretical X-ray diffraction stick pattern
Compound: CaCrNiP2
Radiation: Cu Kα
Structure: a structure optimized by DFT (PBE)
Neutral-atom scattering factors, no anomalous dispersion.

Structure:
```
data_CaCrNiP2
_chemical_formula_sum 'Ca2 Cr2 Ni2 P4'
_cell_length_a 3.8359
_cell_length_b 3.8359
_cell_length_c 10.6891
_cell_angle_alpha 90.00
_cell_angle_beta 90.00
_cell_angle_gamma 90.00
_space_group_name_H-M_alt 'I -4 m 2'
_space_group_IT_number 119
_space_group_name_Hall 'I -4 -2'
loop_
_atom_site_label
_atom_site_fract_x
_atom_site_fract_y
_atom_site_fract_z
Ca1 0.0000 0.0000 0.0000
Cr1 0.0000 0.5000 0.2500
Ni1 0.0000 0.5000 0.7500
P1 0.0000 0.0000 0.3614
```

Principal peaks in the range 15° ≤ 2θ ≤ 90°, sorted by position:
2θ/deg, Rel. int., (hkl)
16.6, 66, 0 0 2
33.5, 16, 0 0 4
34.4, 50, 1 0 3
37.2, 100, 1 1 2
47.4, 51, 2 0 0
47.8, 37, 1 1 4
59.8, 18, 2 1 3
62.4, 31, 1 1 6
69.3, 15, 2 2 0
81.3, 17, 3 1 2

***

Record 4
Theoretical X-ray diffraction stick pattern
Compound: Ce3SnTe2
Radiation: Cu Kα
Structure: a structure optimized by DFT (PBE)
Neutral-atom scattering factors, no anomalous dispersion.

Structure:
```
data_Ce3SnTe2
_chemical_formula_sum 'Ce12 Sn4 Te8'
_cell_length_a 7.7780
_cell_length_b 13.5445
_cell_length_c 7.8198
_cell_angle_alpha 90.00
_cell_angle_beta 109.59
_cell_angle_gamma 90.00
_space_group_name_H-M_alt 'C 1 2/c 1'
_space_group_IT_number 15
loop_
_space_group_symop_operation_xyz
'x,y,z'
'-x,-y,-z'
'-x,y,-z+1/2'
'x,-y,z+1/2'
'x+1/2,y+1/2,z'
'-x+1/2,-y+1/2,-z'
'-x+1/2,y+1/2,-z+1/2'
'x+1/2,-y+1/2,z+1/2'
loop_
_atom_site_label
_atom_site_fract_x
_atom_site_fract_y
_atom_site_fract_z
Ce1 0.2465 0.0820 0.4988
Ce2 0.2500 0.2500 0.0000
Sn1 0.0000 0.0854 0.7500
Te1 0.0000 0.2515 0.2500
Te2 0.0000 0.4169 0.7500
```

Principal peaks in the range 15° ≤ 2θ ≤ 90°, sorted by position:
2θ/deg, Rel. int., (hkl)
28.0, 100, 1 3 1
39.9, 39, 0 6 0
40.1, 38, 2 0 2
49.5, 21, 0 0 4
49.8, 7, 4 0 0
57.9, 13, 4 0 -4
65.4, 18, 0 6 4
65.6, 18, 4 6 0
72.5, 7, 2 0 -6
72.6, 13, 1 3 5

***

Record 5
Theoretical X-ray diffraction stick pattern
Compound: Cs2SnGe2
Radiation: Cu Kα
Structure: a structure optimized by DFT (PBE)
Neutral-atom scattering factors, no anomalous dispersion.

Structure:
```
data_Cs2SnGe2
_chemical_formula_sum 'Cs8 Sn4 Ge8'
_cell_length_a 8.6752
_cell_length_b 12.9007
_cell_length_c 8.6362
_cell_angle_alpha 90.00
_cell_angle_beta 112.58
_cell_angle_gamma 90.00
_space_group_name_H-M_alt 'C 1 2/m 1'
_space_group_IT_number 12
loop_
_space_group_symop_operation_xyz
'x,y,z'
'-x,-y,-z'
'-x,y,-z'
'x,-y,z'
'x+1/2,y+1/2,z'
'-x+1/2,-y+1/2,-z'
'-x+1/2,y+1/2,-z'
'x+1/2,-y+1/2,z'
loop_
_atom_site_label
_atom_site_fract_x
_atom_site_fract_y
_atom_site_fract_z
Cs1 0.2248 0.1555 0.2686
Sn1 0.0000 0.3761 0.0000
Ge1 0.1380 0.5000 0.3067
Ge2 0.1971 0.0000 0.8651
```

Principal peaks in the range 15° ≤ 2θ ≤ 90°, sorted by position:
2θ/deg, Rel. int., (hkl)
20.6, 24, 2 0 -1
21.9, 16, 1 1 -2
22.2, 15, 2 0 0
24.1, 35, 1 3 -1
24.7, 20, 2 0 -2
27.8, 100, 1 3 1
31.8, 25, 3 1 -1
31.9, 26, 1 1 -3
37.5, 59, 2 0 2
48.1, 17, 2 6 0

***

Record 6
Theoretical X-ray diffraction stick pattern
Compound: GeRhNO2
Radiation: Cu Kα
Structure: a structure optimized by DFT (PBE)
Neutral-atom scattering factors, no anomalous dispersion.

Structure:
```
data_GeRhNO2
_chemical_formula_sum 'Ge1 Rh1 N1 O2'
_cell_length_a 4.1029
_cell_length_b 4.1029
_cell_length_c 3.6606
_cell_angle_alpha 90.00
_cell_angle_beta 90.00
_cell_angle_gamma 90.00
_space_group_name_H-M_alt 'P 4/m m m'
_space_group_IT_number 123
_space_group_name_Hall '-P 4 2'
loop_
_atom_site_label
_atom_site_fract_x
_atom_site_fract_y
_atom_site_fract_z
Ge1 0.0000 0.0000 0.0000
Rh1 0.5000 0.5000 0.5000
N1 0.5000 0.5000 0.0000
O1 0.0000 0.5000 0.5000
```

Principal peaks in the range 15° ≤ 2θ ≤ 90°, sorted by position:
2θ/deg, Rel. int., (hkl)
21.7, 11, 1 0 0
30.8, 55, 1 1 0
32.8, 100, 1 0 1
44.1, 39, 2 0 0
49.8, 13, 0 0 2
56.1, 44, 2 1 1
59.7, 17, 1 1 2
64.2, 12, 2 2 0
68.7, 19, 2 0 2
85.4, 10, 2 2 2